Calculated XRD peak list
Compound: Mn3Si2Se6
Radiation: CuKα
Structure: a GGA-PBE-relaxed structure

Crystal structure
```
22
Lattice="6.516 0.000 0.000 -3.258 5.643 0.000 0.000 0.000 13.740" Properties=species:S:1:pos:R:3 pbc="T T T"
Mn 0.000 3.762 0.007
Mn 0.000 3.762 3.435
Mn 0.000 3.762 6.863
Mn 3.258 1.881 13.733
Mn 3.258 1.881 6.877
Mn 3.258 1.881 10.305
Si 0.000 0.000 1.161
Si 0.000 0.000 5.709
Si 0.000 0.000 8.031
Si 0.000 0.000 12.579
Se -1.114 1.936 12.000
Se -2.138 3.710 8.611
Se 1.114 1.936 8.611
Se -1.024 5.639 12.000
Se 2.234 0.004 5.130
Se 1.120 1.933 1.740
Se 2.138 3.710 12.000
Se 1.024 5.639 8.611
Se 4.282 0.004 1.740
Se 2.144 3.707 5.130
Se 5.396 1.933 5.130
Se 4.371 3.707 1.740
```

Top 8 peaks for 5° ≤ 2θ ≤ 70°, by angle:
25.94°, d 3.435, rel. 16, (0 0 4); 30.36°, d 2.944, rel. 100, (1 1 2); 38.07°, d 2.364, rel. 43, (2 -1 4); 48.39°, d 1.881, rel. 36, (3 0 0); 48.60°, d 1.874, rel. 25, (1 1 6); 55.72°, d 1.650, rel. 11, (3 0 4); 58.21°, d 1.585, rel. 15, (4 -2 2); 63.17°, d 1.472, rel. 9, (2 2 4)